[1]
Starting from a crystal structure in the Materials Project, relaxed with PBE+U, the X-ray powder pattern of La2MgMnO6 was simulated for Cu Kα.
Neutral-atom scattering factors, no anomalous dispersion.

Largest 12 diffraction maxima, by angle, 2θ from 10° to 90°:
- 22.69°, I 59
- 32.06°, I 97
- 32.54°, I 100
- 39.63°, I 38
- 46.33°, I 62
- 51.86°, I 16
- 57.15°, I 24
- 57.45°, I 41
- 58.36°, I 19
- 67.04°, I 16
- 68.15°, I 18
- 77.31°, I 17

Structural model:
```
10
Lattice="2.7919 1.6119 4.4619 -2.7919 1.6119 4.4619 0.0000 -3.2238 4.4619" Properties=species:S:1:pos:R:3 pbc="T T T"
La 0.0000 0.0000 3.3343
La 0.0000 0.0000 10.0515
Mg 0.0000 0.0000 6.6929
Mn 0.0000 0.0000 0.0000
O -0.3753 -1.6786 5.5557
O -1.6414 -0.5143 7.8302
O -1.2661 1.1643 5.5557
O 1.2661 -1.1643 7.8302
O 1.6414 0.5143 5.5556
O 0.3753 1.6786 7.8302
```


[2]
Starting from a crystal structure in the Materials Project, relaxed with PBE+U, the X-ray powder pattern of Li3Fe8B8O24 was simulated for Cu Kα.
Neutral-atom scattering factors, no anomalous dispersion.

Largest 12 diffraction maxima, by angle, 2θ from 10° to 90°:
- 19.44°, I 48
- 19.68°, I 83
- 21.46°, I 98
- 21.56°, I 61
- 26.08°, I 77
- 26.45°, I 30
- 33.87°, I 30
- 34.22°, I 35
- 34.36°, I 37
- 35.43°, I 100
- 40.99°, I 29
- 49.47°, I 32

Structural model:
```
43
Lattice="5.2202 0.0000 0.0000 0.1060 9.1514 0.0000 0.0747 0.1587 10.1348" Properties=species:S:1:pos:R:3 pbc="T T T"
Li 0.0000 0.0000 0.0000
Li 0.9901 1.3900 2.6758
Li 2.8575 4.6511 5.1002
Fe 0.2425 6.1747 9.9664
Fe 0.2499 2.9699 4.9524
Fe 0.9843 7.5145 2.3500
Fe 1.0121 4.5940 7.4189
Fe 2.6878 1.7871 9.8946
Fe 2.8343 7.7722 4.8420
Fe 3.5982 3.0934 2.2983
Fe 3.7031 9.2230 7.4047
B 0.2029 6.1361 4.9200
B 1.0155 4.4884 2.3109
B 1.1138 7.6862 7.4360
B 2.8652 7.7639 9.9215
B 2.7715 1.5474 4.8193
B 3.5650 0.0865 2.3525
B 3.6445 3.0855 7.3358
B 5.3051 3.1607 9.9520
O 0.2968 8.7641 7.5066
O 0.2604 3.3721 2.7009
O 0.3926 5.6080 1.7814
O 0.6935 6.4475 7.9322
O 0.6861 4.3185 9.4223
O 0.7407 1.9723 9.9866
O 0.8370 4.9716 5.3719
O 1.0104 7.1523 4.4352
O 1.4220 7.5839 0.1409
O 1.4347 1.4658 4.6115
O 2.4097 7.7960 6.9040
O 2.3637 4.4733 2.5115
O 2.8304 4.1657 7.1056
O 2.9181 8.2040 2.8952
O 2.8715 1.2694 2.0176
O 3.1256 1.8977 7.8166
O 3.4168 8.9765 9.4700
O 3.4626 0.4249 5.3399
O 3.4877 2.7031 4.4663
O 3.6484 6.6600 10.0157
O 3.9381 3.1156 0.3224
O 4.0482 6.2542 4.9291
O 5.0172 9.1419 2.1146
O 4.9960 3.1573 7.0485
```


[3]
Starting from a crystal structure in the Materials Project, relaxed with PBE+U, the X-ray powder pattern of TmV2O2 was simulated for Cu Kα.
Neutral-atom scattering factors, no anomalous dispersion.

Largest 12 diffraction maxima, by angle, 2θ from 10° to 90°:
- 14.00°, I 62
- 24.51°, I 32
- 28.22°, I 67
- 28.46°, I 100
- 31.42°, I 23
- 37.54°, I 52
- 37.91°, I 23
- 40.68°, I 29
- 42.90°, I 27
- 43.23°, I 21
- 50.25°, I 43
- 56.00°, I 16

Structural model:
```
20
Lattice="-4.4354 4.4354 4.5096 4.4354 -4.4354 4.5096 4.4354 4.4354 -4.5096" Properties=species:S:1:pos:R:3 pbc="T T T"
Tm 0.0000 0.0000 0.0000
Tm 2.2177 2.2177 -2.2548
Tm 2.2177 -2.2177 2.2548
Tm 0.0000 4.4354 0.0000
V 4.4354 -0.6412 1.2013
V 4.4354 3.7942 -1.2013
V 1.5765 2.2177 1.0535
V 2.8589 -2.2177 5.5631
V 1.5765 6.6531 -1.0535
V 2.8589 2.2177 3.4561
V 0.0000 0.6412 5.7109
V 0.0000 5.0766 3.3083
O 3.0985 2.2177 -0.3131
O 5.7723 2.2177 -0.3131
O 0.0000 0.8808 1.9417
O 4.4354 0.8808 2.5679
O 0.0000 3.5546 1.9417
O 4.4354 3.5546 2.5679
O -1.3369 2.2177 4.8227
O 1.3369 2.2177 4.8227
```


[4]
Starting from a crystal structure in the Materials Project, relaxed with PBE+U, the X-ray powder pattern of Fe4As2O11 was simulated for Cu Kα.
Neutral-atom scattering factors, no anomalous dispersion.

Largest 12 diffraction maxima, by angle, 2θ from 10° to 90°:
- 20.58°, I 19
- 27.64°, I 100
- 29.26°, I 48
- 29.69°, I 59
- 30.83°, I 24
- 32.09°, I 16
- 33.21°, I 18
- 34.88°, I 21
- 35.31°, I 27
- 38.43°, I 17
- 44.27°, I 17
- 61.93°, I 17

Structural model:
```
17
Lattice="5.1440 0.0000 0.0000 -0.9319 6.5089 0.0000 -1.8705 -2.4756 5.9757" Properties=species:S:1:pos:R:3 pbc="T T T"
Fe 0.2413 1.5712 0.1883
Fe -0.4554 3.8201 4.4784
Fe 2.7971 0.2131 1.4974
Fe 2.1003 2.4620 5.7875
As 0.3097 0.5483 3.6198
As 2.0320 3.4850 2.3560
O -0.4659 3.2544 0.0000
O -0.5809 0.9938 2.2010
O -0.4168 -0.8124 4.4091
O 0.3523 6.2364 0.2600
O 0.4372 3.9222 2.7531
O 0.3580 1.8993 4.7086
O 1.9837 2.1340 1.2672
O 1.9044 0.1111 3.2226
O 1.9894 -2.2031 5.7157
O 2.7584 4.8456 1.5666
O 2.9225 3.0395 3.7748
```


[5]
Starting from a crystal structure in the Materials Project, relaxed with PBE+U, the X-ray powder pattern of NaNdFeWO6 was simulated for Cu Kα.
Neutral-atom scattering factors, no anomalous dispersion.

Largest 12 diffraction maxima, by angle, 2θ from 10° to 90°:
- 10.91°, I 52
- 19.28°, I 64
- 25.11°, I 51
- 31.58°, I 100
- 31.70°, I 99
- 31.95°, I 48
- 32.22°, I 47
- 44.69°, I 29
- 46.02°, I 51
- 55.99°, I 34
- 56.75°, I 34
- 57.21°, I 23

Structural model:
```
20
Lattice="5.5561 0.0000 0.0000 0.0000 5.6015 0.0000 -0.0441 0.0000 8.1115" Properties=species:S:1:pos:R:3 pbc="T T T"
Na 1.3382 0.0000 4.0395
Na 4.1738 2.8008 4.0721
Nd 1.4427 0.3898 0.0109
Nd 4.0693 3.1906 8.1006
Fe 1.3855 2.9421 2.0983
Fe 4.1265 0.1413 6.0132
W 1.3184 2.9107 5.9862
W 4.1936 0.1100 2.1254
O 0.2031 1.1718 2.2522
O 0.3392 1.2716 5.8179
O 0.8498 2.7717 8.0160
O 1.8179 3.0577 4.1966
O 2.4678 4.4342 6.5664
O 2.6374 4.5664 1.5607
O 2.8746 1.7656 6.5509
O 3.0442 1.6335 1.5452
O 3.6940 0.2569 3.9149
O 4.6622 5.5724 0.0955
O 5.1728 4.0723 2.2936
O 5.3089 3.9726 5.8593
```


[6]
Starting from a crystal structure in the Materials Project, relaxed with PBE+U, the X-ray powder pattern of Li2Ni3B3O9 was simulated for Cu Kα.
Neutral-atom scattering factors, no anomalous dispersion.

Largest 12 diffraction maxima, by angle, 2θ from 10° to 90°:
- 21.91°, I 100
- 25.35°, I 9
- 33.74°, I 12
- 36.96°, I 63
- 38.41°, I 14
- 39.20°, I 10
- 45.36°, I 10
- 49.09°, I 14
- 54.37°, I 11
- 56.04°, I 14
- 60.95°, I 10
- 65.61°, I 14

Structural model:
```
34
Lattice="8.1033 0.0000 0.0000 0.0000 6.0785 0.0000 -4.0359 0.0000 7.0326" Properties=species:S:1:pos:R:3 pbc="T T T"
Li 0.0000 0.0000 0.0000
Li 0.0093 3.0392 0.0059
Li -0.6651 3.0392 4.7686
Li 3.7632 0.0000 2.9522
Ni 2.6542 1.5246 0.4669
Ni 2.6542 4.5539 0.4669
Ni 2.0393 1.5167 4.9909
Ni 2.0393 4.5618 4.9909
Ni 6.4871 1.5216 2.2733
Ni 6.4871 4.5569 2.2733
B 1.0227 3.0392 2.5545
B 1.0354 0.0000 2.5693
B 5.0832 0.0000 0.2500
B 5.1053 3.0392 0.2075
B 5.0815 1.5120 4.9505
B 5.0815 4.5665 4.9505
O -1.8654 1.6132 4.2198
O -1.8654 4.4653 4.2198
O -3.0146 1.5140 6.3358
O -3.0146 4.5645 6.3358
O -0.2628 3.0392 2.0170
O -0.2344 0.0000 2.0210
O 2.0845 3.0392 1.6845
O 2.1470 0.0000 1.7338
O 1.1752 3.0392 3.9305
O 1.2609 0.0000 3.9275
O -0.2027 3.0392 6.6690
O -0.2163 0.0000 6.7330
O 2.1941 3.0392 6.4079
O 2.1731 0.0000 6.4629
O 5.2523 3.0392 1.5765
O 5.2260 0.0000 1.6419
O 3.8807 1.4226 4.2779
O 3.8807 4.6559 4.2779
```


[7]
Starting from a crystal structure in the Materials Project, relaxed with PBE+U, the X-ray powder pattern of VHgO3 was simulated for Cu Kα.
Neutral-atom scattering factors, no anomalous dispersion.

Largest 11 diffraction maxima, by angle, 2θ from 10° to 90°:
- 23.01°, I 36
- 32.77°, I 100
- 40.43°, I 27
- 47.03°, I 29
- 52.99°, I 19
- 58.50°, I 39
- 68.70°, I 18
- 73.52°, I 10
- 78.23°, I 17
- 82.85°, I 10
- 87.43°, I 6

Structural model:
```
5
Lattice="3.8644 0.0000 0.0000 0.0000 3.8644 0.0000 0.0000 0.0000 3.8644" Properties=species:S:1:pos:R:3 pbc="T T T"
V 0.0000 0.0000 0.0000
Hg 1.9322 1.9322 1.9322
O 0.0000 0.0000 1.9322
O 0.0000 1.9322 0.0000
O 1.9322 0.0000 0.0000
```


[8]
Starting from a crystal structure in the Materials Project, relaxed with PBE+U, the X-ray powder pattern of Mn6BiPO12 was simulated for Cu Kα.
Neutral-atom scattering factors, no anomalous dispersion.

Largest 12 diffraction maxima, by angle, 2θ from 10° to 90°:
- 15.60°, I 41
- 25.60°, I 15
- 30.12°, I 18
- 31.49°, I 100
- 36.52°, I 25
- 39.93°, I 28
- 48.04°, I 14
- 52.61°, I 47
- 55.22°, I 13
- 62.62°, I 37
- 86.15°, I 16
- 88.96°, I 12

Structural model:
```
20
Lattice="0.0000 4.9205 4.9205 4.9205 0.0000 4.9205 4.9205 4.9205 0.0000" Properties=species:S:1:pos:R:3 pbc="T T T"
Mn 4.9205 4.9205 2.4212
Mn 4.9205 2.4212 4.9205
Mn 7.4197 4.9205 4.9205
Mn 2.4212 4.9205 4.9205
Mn 4.9205 7.4197 4.9205
Mn 4.9205 4.9205 7.4197
Bi 7.3807 7.3807 7.3807
P 2.4602 2.4602 2.4602
O 1.5667 1.5667 1.5667
O 3.3538 3.3538 1.5667
O 3.3538 1.5667 3.3538
O 5.9479 3.8931 3.8931
O 8.7825 5.9789 5.9789
O 1.5667 3.3538 3.3538
O 3.8931 5.9479 3.8931
O 3.8931 3.8931 5.9479
O 5.9479 5.9479 5.9479
O 5.9789 8.7825 5.9789
O 5.9789 5.9789 8.7825
O 8.7825 8.7825 8.7825
```


[9]
Starting from a crystal structure in the Materials Project, relaxed with PBE+U, the X-ray powder pattern of Li9Mn2Co5O16 was simulated for Cu Kα.
Neutral-atom scattering factors, no anomalous dispersion.

Largest 12 diffraction maxima, by angle, 2θ from 10° to 90°:
- 18.36°, I 100
- 35.71°, I 15
- 36.00°, I 26
- 37.58°, I 7
- 43.28°, I 28
- 43.64°, I 55
- 47.61°, I 13
- 57.56°, I 10
- 63.03°, I 22
- 63.29°, I 15
- 63.77°, I 8
- 80.21°, I 7

Structural model:
```
32
Lattice="7.6478 -1.4595 0.0000 7.6478 1.4595 0.0000 -0.5252 0.0000 12.8917" Properties=species:S:1:pos:R:3 pbc="T T T"
Li 0.0000 0.0000 0.0000
Li 0.5835 0.0000 8.8833
Li 2.7460 0.0000 0.7631
Li 4.5518 0.0000 5.6432
Li 6.2462 0.0000 10.5868
Li 8.5243 0.0000 2.3048
Li 10.2187 0.0000 7.2485
Li 12.0244 0.0000 12.1286
Li 14.1869 0.0000 4.0084
Mn 5.7337 0.0000 1.5319
Mn 9.0367 0.0000 11.3598
Co 1.7169 0.0000 4.8234
Co 3.4235 0.0000 9.6789
Co 7.3852 0.0000 6.4458
Co 11.3470 0.0000 3.2128
Co 13.0535 0.0000 8.0682
O 0.1817 0.0000 10.9064
O 1.0692 0.0000 6.7961
O 2.3697 0.0000 2.8624
O 2.7054 0.0000 11.6077
O 4.0605 0.0000 7.7286
O 5.0421 0.0000 3.4935
O 5.6345 0.0000 12.6439
O 6.7249 0.0000 8.4034
O 8.0456 0.0000 4.4883
O 9.1360 0.0000 0.2478
O 9.7284 0.0000 9.3982
O 10.7100 0.0000 5.1631
O 12.0651 0.0000 1.2840
O 12.4008 0.0000 10.0293
O 13.7013 0.0000 6.0956
O 14.5887 0.0000 1.9853
```